Entry 1:
# NaLa6Ga3S14
Computed PXRD pattern, a wavelength of 1.5418 Å. Input: a structure optimized by DFT (PBE).
Neutral-atom scattering factors, no anomalous dispersion.

The 12 most intense peaks (15 to 90 degrees two-theta), low angle first:
(hkl), Position (°2θ), I/Imax
0 1 1, 17.55, 24
2 -1 1, 22.60, 27
0 2 1, 24.75, 100
1 2 0, 26.59, 28
3 0 1, 33.64, 35
2 2 0, 35.05, 37
0 2 2, 35.52, 41
1 3 0, 36.53, 21
3 1 1, 39.46, 31
1 2 2, 39.78, 29
4 1 0, 47.00, 25
1 4 1, 49.37, 24

Cell and atoms:
Lattice parameters (Å, degrees): 10.2405 10.2405 6.1508 90.00 90.00 120.00
Space group P3 (No. 143)
Symmetry-distinct sites (fractional):
1 Na 0.0000 0.0000 0.0000
2 La 0.1417 0.3762 0.7604
3 La 0.3738 0.2335 0.2697
4 Ga 0.0000 0.0000 0.4949
5 Ga 0.3333 0.6667 0.3472
6 Ga 0.6667 0.3333 0.8445
7 S 0.0909 0.2424 0.2572
8 S 0.0985 0.5794 0.4984
9 S 0.2347 0.1431 0.7098
10 S 0.3333 0.6667 0.9797
11 S 0.5177 0.0985 0.9944
12 S 0.6667 0.3333 0.4766

***

Entry 2:
# LaNd3Ga4O12
Computed PXRD pattern, a wavelength of 1.5418 Å. Input: a structure optimized by DFT (PBE).
Neutral-atom scattering factors, no anomalous dispersion.

The 12 most intense peaks (15 to 90 degrees two-theta), low angle first:
(hkl), Position (°2θ), I/Imax
0 2 0, 22.71, 13
0 0 2, 31.97, 22
1 2 1, 32.34, 100
2 0 0, 32.65, 25
2 0 2, 46.34, 24
0 4 0, 46.43, 15
1 1 3, 53.15, 9
1 2 3, 57.21, 13
0 4 2, 57.48, 10
2 4 0, 57.91, 11
3 2 1, 58.07, 22
2 4 2, 67.69, 13

Cell and atoms:
Lattice parameters (Å, degrees): 5.4859 7.8234 5.5986 90.00 90.07 90.00
Space group Pm (No. 6)
Symmetry-distinct sites (fractional):
1 La 0.0000 0.0000 0.0000
2 Nd 0.0196 0.5000 0.0891
3 Nd 0.4983 0.5000 0.5864
4 Nd 0.5194 0.0000 0.4922
5 Ga 0.0080 0.2510 0.5415
6 Ga 0.5090 0.2515 0.0384
7 O 0.0922 0.0000 0.5557
8 O 0.2167 0.2961 0.8315
9 O 0.2990 0.2947 0.3306
10 O 0.4332 0.0000 0.0610
11 O 0.5933 0.5000 0.0164
12 O 0.7131 0.2076 0.7432
13 O 0.7984 0.2090 0.2484
14 O 0.9250 0.5000 0.5178

***

Entry 3:
# La2NdGa3O9
Computed PXRD pattern, a wavelength of 1.5418 Å. Input: a structure optimized by DFT (PBE).
Neutral-atom scattering factors, no anomalous dispersion.

The 12 most intense peaks (15 to 90 degrees two-theta), low angle first:
(hkl), Position (°2θ), I/Imax
0 2 -2, 22.63, 12
2 0 0, 32.07, 23
1 3 0, 32.23, 100
0 2 4, 32.36, 25
-2 2 4, 46.18, 13
0 4 -4, 46.24, 28
3 3 0, 57.27, 15
2 4 -4, 57.38, 10
0 6 0, 57.56, 11
1 5 4, 57.63, 22
2 6 0, 67.44, 14
1 7 -4, 76.72, 12

Cell and atoms:
Lattice parameters (Å, degrees): 5.5810 9.6076 13.5692 90.19 90.05 90.03
Space group P1 (No. 1)
Symmetry-distinct sites (fractional):
1 La 0.0000 0.0000 0.0000
2 La 0.9998 0.3328 0.3333
3 La 0.4319 0.1673 0.6667
4 La 0.4326 0.4996 0.0007
5 La 0.4326 0.8333 0.3334
6 La 0.9300 0.3289 0.8280
7 La 0.9299 0.6619 0.1621
8 La 0.9301 0.9944 0.4956
9 Nd 0.0113 0.6681 0.6682
10 Nd 0.5097 0.1608 0.1612
11 Nd 0.5098 0.4951 0.4951
12 Nd 0.5117 0.8272 0.8273
13 Ga 0.4643 0.1630 0.9145
14 Ga 0.4644 0.1654 0.4141
15 Ga 0.4642 0.4965 0.2486
16 Ga 0.4641 0.8316 0.0801
17 Ga 0.4666 0.4987 0.7469
18 Ga 0.4666 0.8293 0.5815
19 Ga 0.9674 0.3305 0.0813
20 Ga 0.9673 0.3332 0.5811
21 Ga 0.9674 0.6649 0.9137
22 Ga 0.9675 0.9967 0.7479
23 Ga 0.9675 0.6637 0.4161
24 Ga 0.9677 0.9981 0.2478
25 O 0.1733 0.4022 0.6909
26 O 0.1735 0.7869 0.4987
27 O 0.1755 0.1207 0.8305
28 O 0.1752 0.4539 0.1640
29 O 0.1753 0.7335 0.0239
30 O 0.1755 0.0673 0.3577
31 O 0.2535 0.8957 0.6920
32 O 0.2536 0.6239 0.8280
33 O 0.2552 0.2321 0.0252
34 O 0.2547 0.2903 0.4967
35 O 0.2546 0.5650 0.3592
36 O 0.2550 0.9561 0.1631
37 O 0.4434 0.6363 0.6366
38 O 0.4498 0.3031 0.3033
39 O 0.4501 0.9697 0.9698
40 O 0.4793 0.0225 0.5231
41 O 0.4793 0.3564 0.8558
42 O 0.4792 0.6888 0.1892
43 O 0.6742 0.3754 0.6646
44 O 0.6742 0.7609 0.4720
45 O 0.6765 0.0434 0.3317
46 O 0.6758 0.0935 0.8055
47 O 0.6760 0.7093 0.9975
48 O 0.6766 0.4274 0.1395
49 O 0.7495 0.2084 0.0005
50 O 0.7500 0.2656 0.4727
51 O 0.7503 0.5414 0.3346
52 O 0.7498 0.9310 0.1392
53 O 0.7530 0.5989 0.8033
54 O 0.7529 0.8713 0.6672
55 O 0.9434 0.5258 0.5259
56 O 0.9445 0.1891 0.1894
57 O 0.9448 0.8565 0.8565
58 O 0.9798 0.1391 0.6395
59 O 0.9796 0.4727 0.9723
60 O 0.9799 0.8058 0.3064

***

Entry 4:
# La3NdGa4O12
Computed PXRD pattern, a wavelength of 1.5418 Å. Input: a structure optimized by DFT (PBE).
Neutral-atom scattering factors, no anomalous dispersion.

The 12 most intense peaks (15 to 90 degrees two-theta), low angle first:
(hkl), Position (°2θ), I/Imax
0 2 0, 22.63, 8
1 2 1, 32.22, 100
0 2 2, 39.73, 10
0 4 0, 46.21, 28
2 3 0, 47.72, 2
1 0 -3, 52.04, 3
3 1 1, 53.43, 3
1 2 3, 57.44, 41
0 0 4, 67.41, 15
1 6 1, 76.66, 10
3 2 3, 76.77, 5
0 4 4, 85.63, 5

Cell and atoms:
Lattice parameters (Å, degrees): 5.5560 7.8603 5.5570 90.00 90.10 90.00
Space group Pm (No. 6)
Symmetry-distinct sites (fractional):
1 La 0.0000 0.0000 0.0000
2 La 0.0544 0.5000 0.0150
3 La 0.5023 0.0000 0.5150
4 Nd 0.5624 0.5000 0.4988
5 Ga 0.0293 0.2510 0.5085
6 Ga 0.5272 0.2513 0.0079
7 O 0.0102 0.5000 0.5846
8 O 0.0400 0.0000 0.4315
9 O 0.2466 0.2086 0.7889
10 O 0.3098 0.2943 0.2901
11 O 0.5150 0.5000 0.9248
12 O 0.5397 0.0000 0.0841
13 O 0.7476 0.2101 0.7292
14 O 0.8046 0.2936 0.2322